This entry pairs a crystal structure of LiNbFeO4 with its simulated powder X-ray diffraction pattern. Radiation: a wavelength of 1.5418 Å. Structure: a structure optimized by DFT (GGA+U).
Intensities are scaled so that the largest is 100.

The 8 most intense peaks (2θ = 5–70°), by angle:
2θ 17.48, intensity 100
2θ 33.46, intensity 17
2θ 33.89, intensity 25
2θ 35.26, intensity 10
2θ 35.42, intensity 10
2θ 40.46, intensity 17
2θ 41.31, intensity 32
2θ 59.21, intensity 20

Atomic structure:
```
data_LiNbFeO4
_cell_length_a 6.162
_cell_length_b 6.244
_cell_length_c 10.760
_cell_angle_alpha 74.06
_cell_angle_beta 73.40
_cell_angle_gamma 60.47
_space_group_name_H-M_alt 'P 1'
_space_group_IT_number 1
loop_
_space_group_symop_operation_xyz
'x,y,z'
loop_
_atom_site_label
_atom_site_fract_x
_atom_site_fract_y
_atom_site_fract_z
Li1 0.000 0.000 0.000
Li2 0.104 0.184 0.605
Li3 0.498 0.500 0.500
Li4 0.605 0.684 0.105
Nb1 0.053 0.592 0.302
Nb2 0.306 0.341 0.052
Nb3 0.553 0.092 0.802
Nb4 0.797 0.841 0.552
Fe1 0.051 0.592 0.803
Fe2 0.052 0.092 0.303
Fe3 0.552 0.092 0.303
Fe4 0.552 0.592 0.803
O1 0.146 0.712 0.429
O2 0.181 0.249 0.405
O3 0.191 0.666 0.931
O4 0.210 0.212 0.929
O5 0.394 0.476 0.175
O6 0.395 0.018 0.174
O7 0.440 0.435 0.700
O8 0.454 0.976 0.675
O9 0.650 0.208 0.931
O10 0.663 0.749 0.905
O11 0.709 0.166 0.431
O12 0.709 0.708 0.431
O13 0.893 0.972 0.676
O14 0.912 0.518 0.674
O15 0.923 0.935 0.201
O16 0.957 0.471 0.176
```